[1]
Diffraction record for Zr2Be2SiSn. The powder diffractogram is theoretical, not measured: it uses a cell relaxed with PBE and Cu Kα (λ = 1.5418 Å).

Most intense lines, 2θ = 10–90°, by angle:
2θ (°)  I_rel
11.9  14
26.3  26
29.0  43
35.9  100
45.5  10
46.5  38
49.2  10
60.1  22
70.0  20
79.2  20

abc: 3.9088 3.9088 7.4084
angles: 90.00 90.00 120.00
Element x y z (fractional)
Zr: 0.0000 0.0000 0.2325
Zr: 0.0000 0.0000 0.7675
Be: 0.3333 0.6667 0.0000
Be: 0.6667 0.3333 0.5000
Si: 0.6667 0.3333 0.0000
Sn: 0.3333 0.6667 0.5000

=====

[2]
Diffraction record for SmBe4. The powder diffractogram is theoretical, not measured: it uses a cell relaxed with PBE and Cu Kα (λ = 1.5418 Å).

Most intense lines, 2θ = 10–90°, by angle:
2θ (°)  I_rel
13.0  77
19.5  51
29.3  100
31.5  39
32.8  24
39.1  51
40.8  20
43.0  24
45.7  33
49.6  20

abc: 3.1250 3.1250 13.6324
angles: 90.00 90.00 90.00
Element x y z (fractional)
Sm: 0.2500 0.2500 0.1942
Sm: 0.7500 0.7500 0.8058
Be: 0.2500 0.2500 0.4980
Be: 0.2500 0.7500 0.0000
Be: 0.2500 0.7500 0.3861
Be: 0.2500 0.7500 0.6139
Be: 0.7500 0.2500 0.0000
Be: 0.7500 0.2500 0.3861
Be: 0.7500 0.2500 0.6139
Be: 0.7500 0.7500 0.5020

=====

[3]
Diffraction record for Sr2Tm4Be. The powder diffractogram is theoretical, not measured: it uses a cell relaxed with PBE and Cu Kα (λ = 1.5418 Å).

Most intense lines, 2θ = 10–90°, by angle:
2θ (°)  I_rel
27.0  41
28.2  38
29.6  76
33.6  100
39.4  24
42.8  18
49.8  33
54.6  24
57.6  30
59.0  19

abc: 3.6589 3.6589 19.8188
angles: 90.00 90.00 120.00
Element x y z (fractional)
Sr: 0.3333 0.6667 0.2269
Sr: 0.6667 0.3333 0.7731
Tm: 0.3333 0.6667 0.4104
Tm: 0.3333 0.6667 0.9327
Tm: 0.6667 0.3333 0.0673
Tm: 0.6667 0.3333 0.5896
Be: 0.0000 0.0000 0.5000

=====

[4]
Diffraction record for Ta2Be17. The powder diffractogram is theoretical, not measured: it uses a cell relaxed with PBE and Cu Kα (λ = 1.5418 Å).

Most intense lines, 2θ = 10–90°, by angle:
2θ (°)  I_rel
16.2  70
21.7  23
24.2  100
25.0  31
29.2  20
35.0  88
42.6  30
49.5  22
50.0  41
73.0  22

abc: 5.5466 5.5466 5.5466
angles: 83.12 83.12 83.12
Element x y z (fractional)
Ta: 0.1596 0.1596 0.1596
Ta: 0.8404 0.8404 0.8404
Be: 0.0000 0.5000 0.5000
Be: 0.1531 0.1531 0.6612
Be: 0.1531 0.6612 0.1531
Be: 0.2049 0.5000 0.7951
Be: 0.2049 0.7951 0.5000
Be: 0.3388 0.8469 0.8469
Be: 0.4010 0.4010 0.4010
Be: 0.5000 0.0000 0.5000
Be: 0.5000 0.2049 0.7951
Be: 0.5000 0.5000 0.0000
Be: 0.5000 0.7951 0.2049
Be: 0.5990 0.5990 0.5990
Be: 0.6612 0.1531 0.1531
Be: 0.7951 0.2049 0.5000
Be: 0.7951 0.5000 0.2049
Be: 0.8469 0.3388 0.8469
Be: 0.8469 0.8469 0.3388

=====

[5]
Diffraction record for TbBe4. The powder diffractogram is theoretical, not measured: it uses a cell relaxed with PBE and Cu Kα (λ = 1.5418 Å).

Most intense lines, 2θ = 10–90°, by angle:
2θ (°)  I_rel
13.2  73
19.9  51
29.3  100
31.6  41
33.5  22
39.4  51
40.8  20
43.1  23
45.8  34
67.3  19

abc: 3.1273 3.1273 13.3826
angles: 90.00 90.00 90.00
Element x y z (fractional)
Tb: 0.2500 0.2500 0.1925
Tb: 0.7500 0.7500 0.8075
Be: 0.2500 0.2500 0.4976
Be: 0.2500 0.7500 0.0000
Be: 0.2500 0.7500 0.3842
Be: 0.2500 0.7500 0.6158
Be: 0.7500 0.2500 0.0000
Be: 0.7500 0.2500 0.3842
Be: 0.7500 0.2500 0.6158
Be: 0.7500 0.7500 0.5024

=====

[6]
Diffraction record for Be22Tc. The powder diffractogram is theoretical, not measured: it uses a cell relaxed with PBE and Cu Kα (λ = 1.5418 Å).

Most intense lines, 2θ = 10–90°, by angle:
2θ (°)  I_rel
13.3  75
21.9  100
25.7  74
34.0  31
38.4  44
40.8  23
44.6  21
46.7  54
50.2  36
52.2  26

abc: 8.1298 8.1298 8.1298
angles: 60.00 60.00 60.00
Element x y z (fractional)
Be: 0.0000 0.0000 0.0000
Be: 0.0000 0.0000 0.5000
Be: 0.0000 0.5000 0.0000
Be: 0.0000 0.5000 0.5000
Be: 0.0105 0.0105 0.7395
Be: 0.0105 0.7395 0.0105
Be: 0.0105 0.7395 0.7395
Be: 0.1754 0.1754 0.4435
Be: 0.1754 0.1754 0.7057
Be: 0.1754 0.4435 0.1754
Be: 0.1754 0.4435 0.7057
Be: 0.1754 0.7057 0.1754
Be: 0.1754 0.7057 0.4435
Be: 0.2605 0.2605 0.9895
Be: 0.2605 0.9895 0.2605
Be: 0.2605 0.9895 0.9895
Be: 0.2943 0.5565 0.8246
Be: 0.2943 0.8246 0.5565
Be: 0.2943 0.8246 0.8246
Be: 0.4435 0.1754 0.1754
Be: 0.4435 0.1754 0.7057
Be: 0.4435 0.7057 0.1754
Be: 0.5000 0.0000 0.0000
Be: 0.5000 0.0000 0.5000
Be: 0.5000 0.5000 0.0000
Be: 0.5000 0.5000 0.5000
Be: 0.5565 0.2943 0.8246
Be: 0.5565 0.8246 0.2943
Be: 0.5565 0.8246 0.8246
Be: 0.7057 0.1754 0.1754
Be: 0.7057 0.1754 0.4435
Be: 0.7057 0.4435 0.1754
Be: 0.7395 0.0105 0.0105
Be: 0.7395 0.0105 0.7395
Be: 0.7395 0.7395 0.0105
Be: 0.8246 0.2943 0.5565
Be: 0.8246 0.2943 0.8246
Be: 0.8246 0.5565 0.2943
Be: 0.8246 0.5565 0.8246
Be: 0.8246 0.8246 0.2943
Be: 0.8246 0.8246 0.5565
Be: 0.9895 0.2605 0.2605
Be: 0.9895 0.2605 0.9895
Be: 0.9895 0.9895 0.2605
Tc: 0.3750 0.3750 0.3750
Tc: 0.6250 0.6250 0.6250

=====

[7]
Diffraction record for Be2TcW. The powder diffractogram is theoretical, not measured: it uses a cell relaxed with PBE and Cu Kα (λ = 1.5418 Å).

Most intense lines, 2θ = 10–90°, by angle:
2θ (°)  I_rel
26.4  100
30.6  8
43.8  85
51.9  48
54.3  2
63.7  14
70.2  19
72.3  3
80.5  29
86.5  15

abc: 4.1347 4.1347 4.1347
angles: 60.00 60.00 60.00
Element x y z (fractional)
Be: 0.0000 0.0000 0.0000
Be: 0.2500 0.2500 0.2500
Tc: 0.5000 0.5000 0.5000
W: 0.7500 0.7500 0.7500